Starting from a DFT-relaxed cell (PBE, Alexandria), the XRD peak list of V2Rh13 was simulated for λ = 1.5418 Å (Cu Kα).

Structure:
```
data_V2Rh13
_chemical_formula_sum 'V2 Rh13'
_space_group_name_H-M_alt 'P -1'
_space_group_IT_number 2
_space_group_name_Hall '-P 1'
_cell_length_a 5.411
_cell_length_b 5.831
_cell_length_c 7.592
_cell_angle_alpha 89.42
_cell_angle_beta 89.11
_cell_angle_gamma 67.32
loop_
_atom_site_label
_atom_site_fract_x
_atom_site_fract_y
_atom_site_fract_z
V1 0.223 0.373 0.359
Rh1 0.024 0.127 0.135
Rh2 0.061 0.149 0.607
Rh3 0.156 0.392 0.867
Rh4 0.319 0.628 0.624
Rh5 0.324 0.626 0.121
Rh6 0.433 0.894 0.364
Rh7 0.500 0.000 0.000
```

Main lines, low angle first (10 to 90 degrees two-theta):
d_spacing  2θ (°)  I_rel  (hkl)
2.215  40.74  83  2 1 2
2.199  41.04  80  0 2 2
2.190  41.22  100  0 2 -2
2.181  41.39  95  2 1 -2
1.990  45.58  78  2 -1 0
1.898  47.93  47  0 0 4
1.828  49.88  41  2 3 0
1.379  67.96  14  2 -1 4
1.326  71.11  21  2 3 4
1.308  72.25  15  2 3 -4

Starting from a DFT-relaxed cell (PBE, Alexandria), the XRD peak list of V3Rh5 was simulated for λ = 1.5418 Å (Cu Kα).

Structure:
```
data_V3Rh5
_chemical_formula_sum 'V6 Rh10'
_space_group_name_H-M_alt 'A m m 2'
_space_group_IT_number 38
_space_group_name_Hall 'A 2 -2'
_cell_length_a 4.328
_cell_length_b 5.453
_cell_length_c 9.347
_cell_angle_alpha 90.00
_cell_angle_beta 90.00
_cell_angle_gamma 90.00
loop_
_atom_site_label
_atom_site_fract_x
_atom_site_fract_y
_atom_site_fract_z
V1 0.000 0.000 0.000
V2 0.000 0.000 0.495
V3 0.500 0.000 0.822
Rh1 0.000 0.249 0.754
Rh2 0.500 0.000 0.329
Rh3 0.500 0.250 0.074
```

Main lines, low angle first (10 to 90 degrees two-theta):
d_spacing  2θ (°)  I_rel  (hkl)
3.176  28.10  11  1 0 2
2.355  38.22  19  0 2 2
2.337  38.52  17  0 0 4
2.164  41.74  36  2 0 0
2.069  43.76  100  1 2 2
2.056  44.04  38  1 0 4
1.353  69.49  14  0 2 6
1.230  77.60  17  3 2 2
1.147  84.46  17  2 2 6
1.136  85.45  11  1 4 4

Starting from a DFT-relaxed cell (PBE, Alexandria), the XRD peak list of V13Rh2 was simulated for λ = 1.5418 Å (Cu Kα).

Structure:
```
data_V13Rh2
_chemical_formula_sum 'V39 Rh6'
_space_group_name_H-M_alt 'R -3 m'
_space_group_IT_number 166
_space_group_name_Hall '-R 3 2"'
_cell_length_a 6.6238
_cell_length_b 6.6238
_cell_length_c 19.3284
_cell_angle_alpha 90.00
_cell_angle_beta 90.00
_cell_angle_gamma 120.00
loop_
_atom_site_label
_atom_site_fract_x
_atom_site_fract_y
_atom_site_fract_z
V1 0.0000 0.0000 0.0000
V2 0.0744 0.5372 0.4254
V3 0.0759 0.5379 0.2948
Rh1 0.0000 0.0000 0.1318
```

Main lines, low angle first (10 to 90 degrees two-theta):
d_spacing  2θ (°)  I_rel  (hkl)
5.499  16.12  84  1 0 1
3.696  24.08  26  1 0 4
2.946  30.34  22  1 1 3
2.227  40.51  63  0 1 8
2.155  41.93  100  2 1 1
2.116  42.74  24  1 2 2
1.989  45.60  74  0 2 7
1.656  55.49  23  2 2 0
1.644  55.92  22  3 0 6
1.156  83.69  26  2 3 8

Starting from a DFT-relaxed cell (PBE, Alexandria), the XRD peak list of V7Rh2W2 was simulated for λ = 1.5418 Å (Cu Kα).

Structure:
```
data_V7Rh2W2
_chemical_formula_sum 'V7 Rh2 W2'
_space_group_name_H-M_alt 'P -1'
_space_group_IT_number 2
_space_group_name_Hall '-P 1'
_cell_length_a 4.754
_cell_length_b 5.139
_cell_length_c 6.788
_cell_angle_alpha 99.17
_cell_angle_beta 104.14
_cell_angle_gamma 91.65
loop_
_atom_site_label
_atom_site_fract_x
_atom_site_fract_y
_atom_site_fract_z
V1 0.000 0.000 0.000
V2 0.240 0.607 0.065
V3 0.254 0.898 0.419
V4 0.449 0.806 0.806
Rh1 0.257 0.254 0.766
W1 0.188 0.397 0.396
```

Main lines, low angle first (10 to 90 degrees two-theta):
d_spacing  2θ (°)  I_rel  (hkl)
6.484  13.66  51  0 0 1
5.060  17.53  42  0 1 0
3.289  27.11  46  1 1 0
2.639  33.97  43  1 1 1
2.382  37.77  49  1 0 2
2.301  39.15  65  2 0 0
2.185  41.32  96  0 2 -2
2.179  41.44  97  1 0 -3
2.152  41.99  76  1 2 0
2.136  42.32  100  -1 2 1

Starting from a DFT-relaxed cell (PBE, Alexandria), the XRD peak list of V4Rh5W was simulated for λ = 1.5418 Å (Cu Kα).

Structure:
```
data_V4Rh5W
_chemical_formula_sum 'V4 Rh5 W1'
_space_group_name_H-M_alt 'P m m m'
_space_group_IT_number 47
_space_group_name_Hall '-P 2 2'
_cell_length_a 2.741
_cell_length_b 3.734
_cell_length_c 13.688
_cell_angle_alpha 90.00
_cell_angle_beta 90.00
_cell_angle_gamma 90.00
loop_
_atom_site_label
_atom_site_fract_x
_atom_site_fract_y
_atom_site_fract_z
V1 0.000 0.000 0.099
V2 0.000 0.000 0.296
Rh1 0.500 0.500 0.000
Rh2 0.500 0.500 0.199
Rh3 0.500 0.500 0.397
W1 0.000 0.000 0.500
```

Main lines, low angle first (10 to 90 degrees two-theta):
d_spacing  2θ (°)  I_rel  (hkl)
6.844  12.94  7  0 0 2
2.209  40.85  100  1 1 0
1.937  46.91  33  1 0 5
1.867  48.77  15  0 2 0
1.371  68.45  5  2 0 0
1.369  68.56  5  0 0 10
1.344  69.98  20  1 2 5
1.164  82.95  24  2 1 5
1.133  85.73  11  1 3 0
1.104  88.54  10  2 2 0

Starting from a DFT-relaxed cell (PBE, Alexandria), the XRD peak list of ZrVRh was simulated for λ = 1.5418 Å (Cu Kα).

Structure:
```
data_ZrVRh
_chemical_formula_sum 'Zr1 V1 Rh1'
_space_group_name_H-M_alt 'P 3 m 1'
_space_group_IT_number 156
_space_group_name_Hall 'P 3 -2"'
_cell_length_a 4.4345
_cell_length_b 4.4345
_cell_length_c 2.9036
_cell_angle_alpha 90.00
_cell_angle_beta 90.00
_cell_angle_gamma 120.00
loop_
_atom_site_label
_atom_site_fract_x
_atom_site_fract_y
_atom_site_fract_z
Zr1 0.0000 0.0000 0.0000
V1 0.3333 0.6667 0.6304
Rh1 0.6667 0.3333 0.3669
```

Main lines, low angle first (10 to 90 degrees two-theta):
d_spacing  2θ (°)  I_rel  (hkl)
3.840  23.16  15  1 0 0
2.316  38.88  100  1 0 1
2.217  40.69  83  1 1 0
1.602  57.54  31  0 2 1
1.358  69.18  15  0 1 2
1.298  72.85  30  2 1 1
1.280  74.06  13  3 0 0
1.215  78.80  4  1 1 2
1.158  83.47  9  2 0 2
1.109  88.12  9  2 2 0

Starting from a DFT-relaxed cell (PBE, Alexandria), the XRD peak list of Rh5W3 was simulated for λ = 1.5418 Å (Cu Kα).

Structure:
```
data_Rh5W3
_chemical_formula_sum 'Rh10 W6'
_space_group_name_H-M_alt 'C m m m'
_space_group_IT_number 65
_space_group_name_Hall '-C 2 2'
_cell_length_a 7.764
_cell_length_b 7.843
_cell_length_c 3.881
_cell_angle_alpha 90.00
_cell_angle_beta 90.00
_cell_angle_gamma 90.00
loop_
_atom_site_label
_atom_site_fract_x
_atom_site_fract_y
_atom_site_fract_z
Rh1 0.000 0.000 0.000
Rh2 0.000 0.254 0.500
Rh3 0.250 0.250 0.000
W1 0.000 0.500 0.000
W2 0.247 0.000 0.500
```

Main lines, low angle first (10 to 90 degrees two-theta):
d_spacing  2θ (°)  I_rel  (hkl)
3.921  22.68  5  0 2 0
2.745  32.63  4  2 0 1
2.249  40.10  100  2 2 1
1.961  46.31  17  0 4 0
1.941  46.81  32  0 0 2
1.379  67.96  21  0 4 2
1.372  68.36  10  4 0 2
1.180  81.58  13  2 6 1
1.171  82.32  25  2 2 3
1.124  86.58  11  4 4 2

Starting from a DFT-relaxed cell (PBE, Alexandria), the XRD peak list of Rh2W was simulated for λ = 1.5418 Å (Cu Kα).

Structure:
```
data_Rh2W
_chemical_formula_sum 'Rh8 W4'
_space_group_name_H-M_alt 'I 41/a m d'
_space_group_IT_number 141
_cell_length_a 2.789
_cell_length_b 2.789
_cell_length_c 23.911
_cell_angle_alpha 90.00
_cell_angle_beta 90.00
_cell_angle_gamma 90.00
loop_
_space_group_symop_operation_xyz
'x,y,z'
'-x,-y,-z'
'-y+1/4,x+3/4,z+1/4'
'y+1/4,-x+3/4,-z+1/4'
'-x+1/2,-y,z+1/2'
'x+1/2,y,-z+1/2'
'y+1/4,-x+1/4,z+3/4'
'-y+1/4,x+1/4,-z+3/4'
'x,-y,-z'
'-x,y,z'
'-y+1/4,-x+1/4,-z+3/4'
'y+1/4,x+1/4,z+3/4'
'-x+1/2,y,-z+1/2'
'x+1/2,-y,z+1/2'
'y+1/4,x+3/4,-z+1/4'
'-y+1/4,-x+3/4,z+1/4'
'x+1/2,y+1/2,z+1/2'
'-x+1/2,-y+1/2,-z+1/2'
'-y+3/4,x+1/4,z+3/4'
'y+3/4,-x+1/4,-z+3/4'
'-x,-y+1/2,z'
'x,y+1/2,-z'
'y+3/4,-x+3/4,z+1/4'
'-y+3/4,x+3/4,-z+1/4'
'x+1/2,-y+1/2,-z+1/2'
'-x+1/2,y+1/2,z+1/2'
'-y+3/4,-x+3/4,-z+1/4'
'y+3/4,x+3/4,z+1/4'
'-x,y+1/2,-z'
'x,-y+1/2,z'
'y+3/4,x+1/4,-z+3/4'
'-y+3/4,-x+1/4,z+3/4'
loop_
_atom_site_label
_atom_site_fract_x
_atom_site_fract_y
_atom_site_fract_z
Rh1 0.000 0.250 0.299
W1 0.000 0.250 0.875
```

Main lines, low angle first (10 to 90 degrees two-theta):
d_spacing  2θ (°)  I_rel  (hkl)
5.978  14.82  47  0 0 4
2.632  34.06  27  1 0 3
2.409  37.33  100  1 0 5
2.160  41.82  96  1 0 7
1.993  45.52  33  0 0 12
1.946  46.69  85  1 1 2
1.924  47.25  31  1 0 9
1.394  67.13  24  2 0 0
1.291  73.33  33  1 1 14
1.172  82.30  27  2 1 7